Structure and simulated PXRD pattern of Ac3TbPm8 (the PBE geometry in Alexandria; Cu Kα (weighted mean of Kα1 and Kα2)).

Structural model:
a b c (Å): 9.016 9.016 9.016
angles (deg): 136.50 98.74 97.04
Element x y z (fractional)
1 Ac 0.000 0.000 0.000
2 Ac 0.256 0.500 0.756
3 Ac 0.744 0.500 0.244
4 Tb 0.500 0.000 0.500
5 Pm 0.080 0.827 0.253
6 Pm 0.264 0.022 0.759
7 Pm 0.264 0.505 0.241
8 Pm 0.426 0.173 0.253
9 Pm 0.574 0.827 0.747
10 Pm 0.736 0.495 0.759
11 Pm 0.736 0.978 0.241
12 Pm 0.920 0.173 0.747

Most intense lines, 2θ from 10° to 80°, sorted by position:
two_theta	I/Imax
21.48	33
30.24	100
30.45	49
30.66	27
30.79	37
34.34	26
43.76	21
49.39	25
53.98	20
62.90	24